No. 1
Structure and calculated PXRD pattern of DyHoTmCd (a structure optimized by DFT (GGA-PBE); λ = 1.5418 Å (Cu Kα)).
Peak positions follow from Bragg's law for the DFT cell and can differ from measured ones.

Top 10 peaks for 2θ = 5–70°, by intensity:
- d 2.792, 32.05°, rel. 100
- d 2.513, 35.73°, rel. 39
- d 1.499, 61.89°, rel. 30
- d 1.679, 54.66°, rel. 20
- d 1.777, 51.42°, rel. 14
- d 2.257, 39.95°, rel. 12
- d 1.396, 67.03°, rel. 11
- d 1.385, 67.62°, rel. 9
- d 3.307, 26.96°, rel. 4
- d 1.610, 57.23°, rel. 3

Structure:
Lattice parameters (Å, degrees): 3.554 3.554 9.027 90.00 90.00 90.00
Positions (direct):
Dy 0.000 0.000 0.000
Ho 0.000 0.000 0.539
Tm 0.500 0.500 0.270
Cd 0.500 0.500 0.768

---

No. 2
Structure and calculated PXRD pattern of Li4Y3ZrO8 (a structure optimized by DFT (GGA-PBE); λ = 1.5418 Å (Cu Kα)).
Peak positions follow from Bragg's law for the DFT cell and can differ from measured ones.

Top 10 peaks for 2θ = 5–70°, by intensity:
- d 4.069, 21.84°, rel. 100
- d 2.242, 40.23°, rel. 41
- d 2.653, 33.79°, rel. 33
- d 1.645, 55.89°, rel. 28
- d 1.964, 46.23°, rel. 26
- d 2.421, 37.13°, rel. 26
- d 2.620, 34.22°, rel. 25
- d 1.703, 53.82°, rel. 13
- d 1.585, 58.20°, rel. 13
- d 1.778, 51.38°, rel. 11

Structure:
Lattice parameters (Å, degrees): 5.787 5.787 6.345 90.00 90.00 113.61
Positions (direct):
Li 0.000 0.000 0.000
Li 0.000 0.500 0.247
Li 0.500 0.000 0.753
Li 0.500 0.500 0.500
Y 0.000 0.500 0.748
Y 0.500 0.000 0.252
Y 0.500 0.500 0.000
Zr 0.000 0.000 0.500
O 0.229 0.771 0.500
O 0.238 0.252 0.741
O 0.252 0.238 0.259
O 0.261 0.739 0.000
O 0.739 0.261 0.000
O 0.748 0.762 0.259
O 0.762 0.748 0.741
O 0.771 0.229 0.500

---

No. 3
Structure and calculated PXRD pattern of Ba3CdHg (a structure optimized by DFT (GGA-PBE); λ = 1.5418 Å (Cu Kα)).
Peak positions follow from Bragg's law for the DFT cell and can differ from measured ones.

Top 10 peaks for 2θ = 5–70°, by intensity:
- d 3.167, 28.18°, rel. 100
- d 3.018, 29.60°, rel. 58
- d 1.770, 51.65°, rel. 37
- d 2.647, 33.87°, rel. 22
- d 2.134, 42.35°, rel. 22
- d 1.649, 55.76°, rel. 13
- d 11.808, 7.49°, rel. 13
- d 1.661, 55.30°, rel. 11
- d 1.350, 69.67°, rel. 10
- d 1.860, 48.98°, rel. 9

Structure:
Lattice parameters (Å, degrees): 12.188 12.188 6.035 90.00 90.00 151.32
Positions (direct):
Ba 0.075 0.925 0.750
Ba 0.250 0.750 0.750
Ba 0.424 0.576 0.750
Ba 0.576 0.424 0.250
Ba 0.750 0.250 0.250
Ba 0.925 0.075 0.250
Cd 0.158 0.842 0.250
Cd 0.842 0.158 0.750
Hg 0.343 0.657 0.250
Hg 0.657 0.343 0.750

---

No. 4
Structure and calculated PXRD pattern of Sm4Tm4MgO12 (a structure optimized by DFT (GGA-PBE); λ = 1.5418 Å (Cu Kα)).
Peak positions follow from Bragg's law for the DFT cell and can differ from measured ones.

Top 10 peaks for 2θ = 5–70°, by intensity:
- d 3.098, 28.82°, rel. 100
- d 2.961, 30.18°, rel. 93
- d 2.927, 30.54°, rel. 87
- d 2.879, 31.06°, rel. 75
- d 3.052, 29.26°, rel. 58
- d 2.111, 42.84°, rel. 39
- d 1.685, 54.46°, rel. 29
- d 2.655, 33.76°, rel. 29
- d 2.141, 42.22°, rel. 26
- d 1.713, 53.51°, rel. 21

Structure:
Lattice parameters (Å, degrees): 5.760 6.219 8.581 86.40 89.02 89.89
Positions (direct):
Sm 0.000 0.000 0.000
Sm 0.037 0.865 0.474
Sm 0.483 0.393 0.531
Sm 0.545 0.599 0.076
Tm 0.033 0.437 0.258
Tm 0.531 0.993 0.272
Tm 0.540 0.879 0.736
Tm 0.989 0.451 0.764
Mg 0.460 0.248 0.900
O 0.182 0.373 0.023
O 0.230 0.166 0.359
O 0.265 0.675 0.645
O 0.275 0.168 0.717
O 0.326 0.658 0.316
O 0.407 0.938 0.006
O 0.665 0.001 0.506
O 0.719 0.275 0.176
O 0.772 0.161 0.816
O 0.841 0.727 0.874
O 0.851 0.785 0.215
O 0.864 0.507 0.514

---

No. 5
Structure and calculated PXRD pattern of Zr6CdIn2 (a structure optimized by DFT (GGA-PBE); λ = 1.5418 Å (Cu Kα)).
Peak positions follow from Bragg's law for the DFT cell and can differ from measured ones.

Top 9 peaks for 2θ = 5–70°, by intensity:
- d 2.592, 34.61°, rel. 100
- d 2.260, 39.89°, rel. 33
- d 1.360, 69.04°, rel. 24
- d 1.582, 58.33°, rel. 21
- d 2.215, 40.73°, rel. 16
- d 1.598, 57.68°, rel. 11
- d 3.709, 23.99°, rel. 1
- d 2.326, 38.72°, rel. 1
- d 6.780, 13.06°, rel. 1

Structure:
Lattice parameters (Å, degrees): 9.589 9.589 4.430 90.00 90.00 90.00
Positions (direct):
Zr 0.002 0.333 0.000
Zr 0.160 0.160 0.500
Zr 0.167 0.502 0.500
Zr 0.333 0.002 0.000
Zr 0.340 0.660 0.000
Zr 0.498 0.833 0.500
Zr 0.502 0.167 0.500
Zr 0.660 0.340 0.000
Zr 0.667 0.998 0.000
Zr 0.833 0.498 0.500
Zr 0.840 0.840 0.500
Zr 0.998 0.667 0.000
Cd 0.000 0.000 0.000
Cd 0.500 0.500 0.500
In 0.173 0.827 0.500
In 0.327 0.327 0.000
In 0.673 0.673 0.000
In 0.827 0.173 0.500

---

No. 6
Structure and calculated PXRD pattern of Ge2Mo2Pt (a structure optimized by DFT (GGA-PBE); λ = 1.5418 Å (Cu Kα)).
Peak positions follow from Bragg's law for the DFT cell and can differ from measured ones.

Top 10 peaks for 2θ = 5–70°, by intensity:
- d 2.293, 39.29°, rel. 100
- d 2.457, 36.57°, rel. 75
- d 2.017, 44.94°, rel. 70
- d 2.930, 30.51°, rel. 43
- d 1.393, 67.18°, rel. 42
- d 1.927, 47.16°, rel. 33
- d 1.787, 51.11°, rel. 25
- d 2.255, 39.98°, rel. 24
- d 3.854, 23.08°, rel. 16
- d 4.511, 19.68°, rel. 15

Structure:
Lattice parameters (Å, degrees): 6.379 6.379 3.854 90.00 90.00 90.00
Positions (direct):
Ge 0.135 0.365 0.000
Ge 0.365 0.865 0.000
Ge 0.635 0.135 0.000
Ge 0.865 0.635 0.000
Mo 0.173 0.673 0.500
Mo 0.327 0.173 0.500
Mo 0.673 0.827 0.500
Mo 0.827 0.327 0.500
Pt 0.000 0.000 0.000
Pt 0.500 0.500 0.000